Structure and computed powder X-ray diffraction pattern of Pr3Zn2Ni4 (a structure optimized by DFT (GGA-PBE); Cu Kα).
Intensities are scaled so that the largest is 100.

Main lines, in order of rising 2θ (15 to 90 degrees two-theta):
index, 2theta, I (rel.)
1 1 1, 26.07, 78
1 1 -2, 30.63, 74
2 0 -3, 34.51, 49
3 1 0, 34.69, 100
4 0 -1, 36.32, 44
3 1 -2, 38.64, 60
1 1 3, 41.28, 70
0 2 0, 43.21, 69

Crystal structure
```
data_Pr3Zn2Ni4
_chemical_formula_sum 'Pr6 Zn4 Ni8'
_symmetry_space_group_name_H-M 'C 1 2/m 1'
_symmetry_Int_Tables_number 12
_cell_length_a 9.9907
_cell_length_b 4.1879
_cell_length_c 8.4223
_cell_angle_alpha 90.00
_cell_angle_beta 99.12
_cell_angle_gamma 90.00
loop_
_symmetry_equiv_pos_as_xyz
'x,y,z'
'-x,-y,-z'
'-x,y,-z'
'x,-y,z'
'x+1/2,y+1/2,z'
'-x+1/2,-y+1/2,-z'
'-x+1/2,y+1/2,-z'
'x+1/2,-y+1/2,z'
loop_
_atom_site_label
_atom_site_type_symbol
_atom_site_fract_x
_atom_site_fract_y
_atom_site_fract_z
Pr1 Pr 0.0000 0.0000 0.0000
Pr2 Pr 0.1246 0.5000 0.3768
Zn1 Zn 0.1801 0.5000 0.7824
Ni1 Ni 0.0838 0.0000 0.6352
Ni2 Ni 0.2343 0.5000 0.0831
```